Entry 1:
Structure and simulated XRD peak list of RbCdOsO6 (DFT lattice parameters and positions (PBE); Cu Kα X-rays).
Peak positions follow from Bragg's law for the DFT cell and can differ from measured ones.

Largest 10 diffraction maxima, in order of rising 2θ, 15° ≤ 2θ ≤ 90°:
2θ (°)  d/Å  Rel. int.
15.25  5.810  100
23.27  3.823  71
23.38  3.804  70
23.48  3.788  81
30.51  2.930  37
30.78  2.905  28
30.88  2.896  67
34.63  2.590  35
44.07  2.055  42
44.23  2.048  42

Structural model:
```
data_RbCdOsO6
_chemical_formula_sum 'Rb1 Cd1 Os1 O6'
_cell_length_a 5.7919
_cell_length_b 5.7919
_cell_length_c 5.8102
_cell_angle_alpha 90.17
_cell_angle_beta 90.17
_cell_angle_gamma 119.21
_space_group_name_H-M_alt 'P 1'
_space_group_IT_number 1
_space_group_name_Hall 'P 1'
loop_
_atom_site_label
_atom_site_fract_x
_atom_site_fract_y
_atom_site_fract_z
Rb1 0.0000 0.0000 0.0000
Cd1 0.3212 0.6788 0.5000
Os1 0.6669 0.3331 0.5000
O1 0.4107 0.0569 0.6742
O2 0.4212 0.3998 0.3225
O3 0.6002 0.5788 0.6775
O4 0.6223 0.0798 0.2931
O5 0.9202 0.3777 0.7069
O6 0.9431 0.5893 0.3258
```

Entry 2:
Structure and simulated XRD peak list of Tb2HfAl3 (DFT lattice parameters and positions (PBE); Cu Kα X-rays).
Peak positions follow from Bragg's law for the DFT cell and can differ from measured ones.

Largest 10 diffraction maxima, in order of rising 2θ, 15° ≤ 2θ ≤ 90°:
2θ (°)  d/Å  Rel. int.
21.08  4.214  17
25.63  3.475  41
30.23  2.956  100
34.31  2.614  73
34.88  2.572  28
36.07  2.490  36
43.46  2.082  18
51.05  1.789  20
52.93  1.730  19
62.13  1.494  25

Structural model:
```
data_Tb2HfAl3
_chemical_formula_sum 'Tb4 Hf2 Al6'
_cell_length_a 7.5243
_cell_length_b 7.5243
_cell_length_c 5.1450
_cell_angle_alpha 90.00
_cell_angle_beta 90.00
_cell_angle_gamma 77.55
_space_group_name_H-M_alt 'P 1'
_space_group_IT_number 1
_space_group_name_Hall 'P 1'
loop_
_atom_site_label
_atom_site_fract_x
_atom_site_fract_y
_atom_site_fract_z
Tb1 0.0806 0.6498 0.7500
Tb2 0.3502 0.9194 0.7500
Tb3 0.6498 0.0806 0.2500
Tb4 0.9194 0.3502 0.2500
Hf1 0.4095 0.5905 0.2500
Hf2 0.5905 0.4095 0.7500
Al1 0.0867 0.9133 0.2500
Al2 0.2929 0.2929 0.0000
Al3 0.2929 0.2929 0.5000
Al4 0.7071 0.7071 0.0000
Al5 0.7071 0.7071 0.5000
Al6 0.9133 0.0867 0.7500
```

Entry 3:
Structure and simulated XRD peak list of Li3SbPd6 (DFT lattice parameters and positions (PBE); Cu Kα X-rays).
Peak positions follow from Bragg's law for the DFT cell and can differ from measured ones.

Largest 10 diffraction maxima, in order of rising 2θ, 15° ≤ 2θ ≤ 90°:
2θ (°)  d/Å  Rel. int.
16.60  5.339  17
20.46  4.341  100
33.57  2.670  22
37.87  2.376  31
39.63  2.274  46
40.10  2.249  99
41.60  2.171  16
43.24  2.092  34
43.67  2.073  77
74.35  1.276  18

Structural model:
```
data_Li3SbPd6
_chemical_formula_sum 'Li6 Sb2 Pd12'
_cell_length_a 6.9825
_cell_length_b 6.9825
_cell_length_c 6.9825
_cell_angle_alpha 99.75
_cell_angle_beta 99.75
_cell_angle_gamma 99.75
_space_group_name_H-M_alt 'P 1'
_space_group_IT_number 1
_space_group_name_Hall 'P 1'
loop_
_atom_site_label
_atom_site_fract_x
_atom_site_fract_y
_atom_site_fract_z
Li1 0.0720 0.3541 0.3541
Li2 0.3541 0.0720 0.3541
Li3 0.3541 0.3541 0.0720
Li4 0.6459 0.6459 0.9280
Li5 0.6459 0.9280 0.6459
Li6 0.9280 0.6459 0.6459
Sb1 0.0000 0.0000 0.0000
Sb2 0.5000 0.5000 0.5000
Pd1 0.0974 0.0974 0.6741
Pd2 0.0974 0.6741 0.0974
Pd3 0.2372 0.5000 0.7628
Pd4 0.2372 0.7628 0.5000
Pd5 0.3259 0.9026 0.9026
Pd6 0.5000 0.2372 0.7628
Pd7 0.5000 0.7628 0.2372
Pd8 0.6741 0.0974 0.0974
Pd9 0.7628 0.2372 0.5000
Pd10 0.7628 0.5000 0.2372
Pd11 0.9026 0.3259 0.9026
Pd12 0.9026 0.9026 0.3259
```